CaSb4H6S2O16: theoretical powder diffraction line list (Cu Kα (λ = 1.5418 Å)), based on a cell relaxed with PBE.

Crystal structure
```
CaSb4H6S2O16
1.0
12.601 -2.861 0.000
12.601 2.861 0.000
-1.199 0.000 10.213
Ca Sb H S O
2 8 12 4 32
Direct
0.182 0.818 0.750
0.818 0.182 0.250
0.120 0.246 0.230
0.246 0.120 0.730
0.288 0.294 0.515
0.294 0.288 0.015
0.706 0.712 0.985
0.712 0.706 0.485
0.754 0.880 0.270
0.880 0.754 0.770
0.300 0.589 0.224
0.303 0.459 0.782
0.350 0.549 0.378
0.411 0.700 0.276
0.451 0.650 0.122
0.459 0.303 0.282
0.541 0.697 0.718
0.549 0.350 0.878
0.589 0.300 0.724
0.650 0.451 0.622
0.697 0.541 0.218
0.700 0.411 0.776
0.064 0.094 0.483
0.094 0.064 0.983
0.906 0.936 0.017
0.936 0.906 0.517
0.020 0.122 0.119
0.054 0.420 0.385
0.054 0.423 0.112
0.091 0.814 0.115
0.122 0.020 0.619
0.131 0.145 0.971
0.145 0.131 0.471
0.186 0.909 0.385
0.199 0.680 0.546
0.236 0.446 0.771
0.320 0.801 0.954
0.420 0.054 0.885
0.423 0.054 0.612
0.424 0.464 0.292
0.446 0.236 0.271
0.464 0.424 0.792
0.536 0.576 0.208
0.554 0.764 0.729
0.576 0.536 0.708
0.577 0.946 0.388
0.580 0.946 0.115
0.680 0.199 0.046
0.764 0.554 0.229
0.801 0.320 0.454
0.814 0.091 0.615
0.855 0.869 0.529
0.869 0.855 0.029
0.878 0.980 0.381
0.909 0.186 0.885
0.946 0.577 0.888
0.946 0.580 0.615
0.980 0.878 0.881
```

Most intense lines, 2θ = 10–90°, by angle:
15.89°, I = 26; 24.83°, I = 31; 25.95°, I = 35; 26.55°, I = 67; 28.17°, I = 100; 28.53°, I = 29; 30.70°, I = 68; 31.26°, I = 31; 35.15°, I = 26; 47.70°, I = 39